1.
For LaDy2Y5, a crystal structure in Alexandria, relaxed with PBE gives the theoretical X-ray powder pattern in this record (Cu Kα).
Kinematic intensities with the Lorentz-polarization factor, no thermal factor.

Largest 10 diffraction maxima, low angle first, 2θ from 10° to 90°:
| d_spacing | 2θ (°) | I (rel.) | h k l |
| --- | --- | --- | --- |
| 2.928 | 30.53 | 100 | 2 4 0 |
| 2.539 | 35.35 | 34 | 2 0 2 |
| 2.529 | 35.50 | 17 | 0 8 0 |
| 1.795 | 50.86 | 12 | 4 0 0 |
| 1.792 | 50.97 | 23 | 2 8 2 |
| 1.530 | 60.49 | 28 | 4 4 2 |
| 1.526 | 60.69 | 14 | 2 12 0 |
| 1.464 | 63.56 | 12 | 4 8 0 |
| 1.165 | 82.89 | 6 | 6 4 0 |
| 1.163 | 83.07 | 11 | 4 12 2 |

a = 7.1791 Å, b = 20.2295 Å, c = 7.1829 Å
α = 90.00°, β = 90.00°, γ = 90.00°
Space group Pbam (No. 55)
One atom of each set of equivalent atoms:
La 0.2480 0.1244 0.0000 (multiplicity 4)
Dy 0.0000 0.0000 0.2529 (multiplicity 4)
Dy 0.2492 0.1248 0.5000 (multiplicity 4)
Y 0.0001 0.2504 0.2527 (multiplicity 8)
Y 0.0000 0.5000 0.2528 (multiplicity 4)
Y 0.2488 0.8754 0.0000 (multiplicity 4)
Y 0.2486 0.8753 0.5000 (multiplicity 4)

2.
For HfMg16Al12, a crystal structure in Alexandria, relaxed with PBE gives the theoretical X-ray powder pattern in this record (Cu Kα).
Kinematic intensities with the Lorentz-polarization factor, no thermal factor.

Largest 10 diffraction maxima, low angle first, 2θ from 10° to 90°:
| d_spacing | 2θ (°) | I (rel.) | h k l |
| --- | --- | --- | --- |
| 7.510 | 11.78 | 88 | 1 1 0 |
| 7.310 | 12.11 | 61 | 1 0 1 |
| 5.238 | 16.93 | 33 | 0 2 1 |
| 4.296 | 20.67 | 39 | 2 1 1 |
| 2.503 | 35.87 | 56 | 3 3 0 |
| 2.496 | 35.99 | 28 | 0 5 1 |
| 2.473 | 36.33 | 96 | 2 3 2 |
| 2.437 | 36.89 | 100 | 0 3 3 |
| 2.259 | 39.91 | 51 | 5 1 1 |
| 1.432 | 65.14 | 28 | 3 6 3 |

a = 15.0205 Å, b = 15.0205 Å, c = 8.8368 Å
α = 90.00°, β = 90.00°, γ = 120.00°
Space group R3m (No. 160, hexagonal axes)
One atom of each set of equivalent atoms:
Hf 0.0000 0.0000 0.0000 (multiplicity 3)
Mg 0.0000 0.0000 0.3722 (multiplicity 3)
Mg 0.0059 0.3064 0.6794 (multiplicity 18)
Mg 0.0637 0.5319 0.5905 (multiplicity 9)
Mg 0.2177 0.1089 0.8790 (multiplicity 9)
Mg 0.2203 0.4406 0.1570 (multiplicity 9)
Al 0.0605 0.1210 0.6900 (multiplicity 9)
Al 0.0911 0.5456 0.1100 (multiplicity 9)
Al 0.1551 0.4871 0.8526 (multiplicity 18)

3.
For Tb3ScIn2, a crystal structure in Alexandria, relaxed with PBE gives the theoretical X-ray powder pattern in this record (Cu Kα).
Kinematic intensities with the Lorentz-polarization factor, no thermal factor.

Largest 10 diffraction maxima, low angle first, 2θ from 10° to 90°:
| d_spacing | 2θ (°) | I (rel.) | h k l |
| --- | --- | --- | --- |
| 3.233 | 27.59 | 41 | 0 0 2 |
| 3.056 | 29.22 | 39 | 1 4 1 |
| 3.008 | 29.70 | 96 | 2 2 0 |
| 2.739 | 32.70 | 35 | 0 6 0 |
| 2.541 | 35.33 | 100 | 0 4 2 |
| 2.350 | 38.31 | 31 | 1 6 1 |
| 2.286 | 39.42 | 75 | 2 0 2 |
| 1.755 | 52.11 | 38 | 2 6 2 |
| 1.364 | 68.85 | 27 | 2 4 4 |
| 1.281 | 74.01 | 22 | 1 10 3 |

a = 6.4729 Å, b = 16.4337 Å, c = 6.4581 Å
α = 90.00°, β = 90.00°, γ = 90.00°
Space group Ibam (No. 72)
One atom of each set of equivalent atoms:
Tb 0.0000 0.0000 0.2500 (multiplicity 4)
Tb 0.2491 0.3247 0.0000 (multiplicity 8)
Sc 0.0000 0.5000 0.2500 (multiplicity 4)
In 0.2398 0.3677 0.5000 (multiplicity 8)

4.
For MoCl, a crystal structure in Alexandria, relaxed with PBE gives the theoretical X-ray powder pattern in this record (Cu Kα).
Kinematic intensities with the Lorentz-polarization factor, no thermal factor.

Largest 10 diffraction maxima, low angle first, 2θ from 10° to 90°:
| d_spacing | 2θ (°) | I (rel.) | h k l |
| --- | --- | --- | --- |
| 2.732 | 32.79 | 82 | 1 0 0 |
| 2.430 | 36.99 | 46 | 0 1 2 |
| 2.288 | 39.37 | 74 | 0 1 -2 |
| 2.248 | 40.11 | 75 | 1 0 -2 |
| 2.230 | 40.46 | 74 | 1 1 3 |
| 2.176 | 41.50 | 76 | 1 1 -2 |
| 2.157 | 41.87 | 73 | 1 0 3 |
| 2.118 | 42.69 | 66 | 0 1 3 |
| 1.840 | 49.54 | 56 | 0 0 5 |
| 1.587 | 58.12 | 100 | 2 1 1 |

a = 3.1751 Å, b = 3.1751 Å, c = 9.3425 Å
α = 82.05°, β = 80.80°, γ = 60.00°
Space group P-1 (No. 2)
One atom of each set of equivalent atoms:
Mo 0.1306 0.1434 0.1013 (multiplicity 2)
Cl 0.2714 0.2340 0.7059 (multiplicity 2)

5.
For Sm2Ho3N4, a crystal structure in Alexandria, relaxed with PBE gives the theoretical X-ray powder pattern in this record (Cu Kα).
Kinematic intensities with the Lorentz-polarization factor, no thermal factor.

Largest 10 diffraction maxima, low angle first, 2θ from 10° to 90°:
| d_spacing | 2θ (°) | I (rel.) | h k l |
| --- | --- | --- | --- |
| 2.891 | 30.93 | 33 | 2 0 -3 |
| 2.869 | 31.17 | 100 | 1 1 1 |
| 2.510 | 35.78 | 30 | 2 0 2 |
| 2.480 | 36.23 | 59 | 3 1 -2 |
| 1.768 | 51.70 | 20 | 1 1 -4 |
| 1.760 | 51.97 | 30 | 5 1 0 |
| 1.747 | 52.36 | 10 | 0 2 0 |
| 1.508 | 61.48 | 14 | 6 0 1 |
| 1.496 | 62.03 | 19 | 2 2 -3 |
| 1.434 | 65.04 | 10 | 2 2 2 |

a = 11.6585 Å, b = 3.4945 Å, c = 8.6728 Å
α = 90.00°, β = 119.14°, γ = 90.00°
Space group C2/m (No. 12)
One atom of each set of equivalent atoms:
Sm 0.1040 0.0000 0.3875 (multiplicity 4)
Ho 0.0000 0.5000 0.0000 (multiplicity 2)
Ho 0.2078 0.5000 0.8153 (multiplicity 4)
N 0.1049 0.0000 0.9071 (multiplicity 4)
N 0.1986 0.5000 0.2943 (multiplicity 4)

6.
For Ce2Zn16Pt, a crystal structure in Alexandria, relaxed with PBE gives the theoretical X-ray powder pattern in this record (Cu Kα).
Kinematic intensities with the Lorentz-polarization factor, no thermal factor.

Largest 10 diffraction maxima, low angle first, 2θ from 10° to 90°:
| d_spacing | 2θ (°) | I (rel.) | h k l |
| --- | --- | --- | --- |
| 2.605 | 34.43 | 62 | 3 0 0 |
| 2.527 | 35.53 | 50 | 0 2 4 |
| 2.256 | 39.97 | 96 | 2 2 0 |
| 2.244 | 40.19 | 100 | 0 3 3 |
| 2.206 | 40.90 | 68 | 0 0 6 |
| 2.193 | 41.16 | 39 | 2 0 5 |
| 2.009 | 45.13 | 51 | 2 2 3 |
| 1.577 | 58.52 | 29 | 2 2 6 |
| 1.302 | 72.60 | 32 | 6 0 0 |
| 1.282 | 73.96 | 30 | 0 3 9 |

a = 9.0236 Å, b = 9.0236 Å, c = 13.2487 Å
α = 90.00°, β = 90.00°, γ = 120.00°
Space group R3m (No. 160, hexagonal axes)
One atom of each set of equivalent atoms:
Ce 0.0000 0.0000 0.0000 (multiplicity 3)
Ce 0.0000 0.0000 0.3260 (multiplicity 3)
Zn 0.0000 0.0000 0.5647 (multiplicity 3)
Zn 0.0001 0.2893 0.6666 (multiplicity 18)
Zn 0.0091 0.5046 0.8166 (multiplicity 9)
Zn 0.1673 0.3345 0.4995 (multiplicity 9)
Zn 0.1691 0.3382 0.8465 (multiplicity 9)
Pt 0.0000 0.0000 0.7696 (multiplicity 3)

7.
For NaLiTlNi, a crystal structure in Alexandria, relaxed with PBE gives the theoretical X-ray powder pattern in this record (Cu Kα).
Kinematic intensities with the Lorentz-polarization factor, no thermal factor.

Largest 10 diffraction maxima, low angle first, 2θ from 10° to 90°:
| d_spacing | 2θ (°) | I (rel.) | h k l |
| --- | --- | --- | --- |
| 3.806 | 23.37 | 95 | 1 1 1 |
| 3.296 | 27.05 | 34 | 2 0 0 |
| 2.331 | 38.63 | 100 | 2 2 0 |
| 1.988 | 45.64 | 50 | 3 1 1 |
| 1.648 | 55.78 | 17 | 4 0 0 |
| 1.512 | 61.30 | 21 | 3 3 1 |
| 1.474 | 63.07 | 14 | 4 2 0 |
| 1.346 | 69.91 | 34 | 4 2 2 |
| 1.269 | 74.84 | 16 | 5 1 1 |
| 1.114 | 87.56 | 17 | 5 3 1 |

a = 6.5919 Å, b = 6.5919 Å, c = 6.5919 Å
α = 90.00°, β = 90.00°, γ = 90.00°
Space group F-43m (No. 216)
One atom of each set of equivalent atoms:
Na 0.0000 0.0000 0.0000 (multiplicity 4)
Li 0.2500 0.2500 0.2500 (multiplicity 4)
Tl 0.0000 0.0000 0.5000 (multiplicity 4)
Ni 0.2500 0.2500 0.7500 (multiplicity 4)

8.
For La2ZnNi12Ge3, a crystal structure in Alexandria, relaxed with PBE gives the theoretical X-ray powder pattern in this record (Cu Kα).
Kinematic intensities with the Lorentz-polarization factor, no thermal factor.

Largest 10 diffraction maxima, low angle first, 2θ from 10° to 90°:
| d_spacing | 2θ (°) | I (rel.) | h k l |
| --- | --- | --- | --- |
| 2.947 | 30.32 | 35 | 1 1 3 |
| 2.317 | 38.86 | 13 | 0 1 5 |
| 2.139 | 42.24 | 100 | 2 2 0 |
| 2.111 | 42.83 | 13 | 3 0 3 |
| 2.038 | 44.46 | 38 | 2 0 5 |
| 1.839 | 49.57 | 14 | 1 2 5 |
| 1.503 | 61.73 | 9 | 1 4 3 |
| 1.475 | 63.03 | 20 | 0 4 5 |
| 1.235 | 77.24 | 15 | 6 0 0 |
| 1.215 | 78.80 | 12 | 4 2 5 |

a = 8.5572 Å, b = 8.5572 Å, c = 12.1983 Å
α = 90.00°, β = 90.00°, γ = 120.00°
Space group R-3m (No. 166, hexagonal axes)
One atom of each set of equivalent atoms:
La 0.0000 0.0000 0.1483 (multiplicity 6)
Zn 0.0000 0.0000 0.5000 (multiplicity 3)
Ni 0.0078 0.5039 0.3910 (multiplicity 18)
Ni 0.0132 0.5066 0.1951 (multiplicity 18)
Ge 0.0000 0.5000 0.0000 (multiplicity 9)